# BaAcO3
Theoretical PXRD pattern, a wavelength of 1.5418 Å. Input: a PBE-relaxed structure.

Structure:
```
data_BaAcO3
_symmetry_space_group_name_H-M 'R -3 c'
_symmetry_Int_Tables_number 167
_symmetry_space_group_name_Hall '-R 3 2"c'
_cell_length_a 6.6412
_cell_length_b 6.6412
_cell_length_c 16.0050
_cell_angle_alpha 90.00
_cell_angle_beta 90.00
_cell_angle_gamma 120.00
loop_
_atom_site_label
_atom_site_type_symbol
_atom_site_fract_x
_atom_site_fract_y
_atom_site_fract_z
Ba1 Ba 0.0000 0.0000 0.2500
Ac1 Ac 0.0000 0.0000 0.0000
O1 O 0.0000 0.4020 0.2500
```

The 6 most intense peaks (2θ = 10–80°), sorted by position:
hkl  2theta  intensity
1 1 0  26.85  96
1 0 4  27.15  100
0 2 4  38.55  49
3 0 0  47.42  27
2 1 4  47.61  46
0 1 8  48.16  21

***

# BaAcPO5
Theoretical PXRD pattern, a wavelength of 1.5418 Å. Input: a PBE-relaxed structure.

Structure:
```
data_BaAcPO5
_symmetry_space_group_name_H-M 'C 1 2/c 1'
_symmetry_Int_Tables_number 15
_cell_length_a 7.429
_cell_length_b 10.171
_cell_length_c 8.238
_cell_angle_alpha 90.00
_cell_angle_beta 109.56
_cell_angle_gamma 90.00
loop_
_symmetry_equiv_pos_as_xyz
'x,y,z'
'-x,-y,-z'
'-x,y,-z+1/2'
'x,-y,z+1/2'
'x+1/2,y+1/2,z'
'-x+1/2,-y+1/2,-z'
'-x+1/2,y+1/2,-z+1/2'
'x+1/2,-y+1/2,z+1/2'
loop_
_atom_site_label
_atom_site_type_symbol
_atom_site_fract_x
_atom_site_fract_y
_atom_site_fract_z
Ba1 Ba 0.000 0.158 0.250
Ac1 Ac 0.000 0.500 0.000
P1 P 0.000 0.183 0.750
O1 O 0.000 0.398 0.250
O2 O 0.105 0.274 0.656
O3 O 0.143 0.092 0.887
```

The 6 most intense peaks (2θ = 10–80°), sorted by position:
hkl  2theta  intensity
1 1 0  15.37  49
1 1 -2  23.84  100
2 0 0  25.45  71
0 2 2  28.94  58
1 3 0  29.27  82
1 1 2  31.12  36

***

# Ba3Ac3PaO8
Theoretical PXRD pattern, a wavelength of 1.5418 Å. Input: a PBE-relaxed structure.

Structure:
```
data_Ba3Ac3PaO8
_symmetry_space_group_name_H-M 'R -3 m'
_symmetry_Int_Tables_number 166
_symmetry_space_group_name_Hall '-R 3 2"'
_cell_length_a 7.6707
_cell_length_b 7.6707
_cell_length_c 19.2693
_cell_angle_alpha 90.00
_cell_angle_beta 90.00
_cell_angle_gamma 120.00
loop_
_atom_site_label
_atom_site_type_symbol
_atom_site_fract_x
_atom_site_fract_y
_atom_site_fract_z
Ba1 Ba 0.0000 0.5000 0.0000
Ac1 Ac 0.0000 0.5000 0.5000
Pa1 Pa 0.0000 0.0000 0.5000
O1 O 0.0000 0.0000 0.2325
O2 O 0.0430 0.5215 0.2255
```

The 6 most intense peaks (2θ = 10–80°), sorted by position:
hkl  2theta  intensity
0 0 3  13.79  39
0 0 6  27.78  37
2 0 2  28.42  99
0 2 4  32.75  100
2 0 8  46.58  35
2 2 0  47.41  36

***

# Ba2AcPdO5
Theoretical PXRD pattern, a wavelength of 1.5418 Å. Input: a PBE-relaxed structure.

Structure:
```
data_Ba2AcPdO5
_symmetry_space_group_name_H-M 'P 4/m b m'
_symmetry_Int_Tables_number 127
_symmetry_space_group_name_Hall '-P 4 2ab'
_cell_length_a 6.968
_cell_length_b 6.968
_cell_length_c 6.370
_cell_angle_alpha 90.00
_cell_angle_beta 90.00
_cell_angle_gamma 90.00
loop_
_atom_site_label
_atom_site_type_symbol
_atom_site_fract_x
_atom_site_fract_y
_atom_site_fract_z
Ba1 Ba 0.167 0.333 0.000
Ac1 Ac 0.000 0.000 0.500
Pd1 Pd 0.000 0.500 0.500
O1 O 0.000 0.000 0.000
O2 O 0.153 0.653 0.294
```

The 6 most intense peaks (2θ = 10–80°), sorted by position:
hkl  2theta  intensity
0 0 2  28.01  44
2 0 1  29.22  100
2 1 1  31.97  37
2 2 0  36.47  26
2 2 2  46.60  29
2 0 3  50.33  37

***

# Ba2AcPt2O6
Theoretical PXRD pattern, a wavelength of 1.5418 Å. Input: a PBE-relaxed structure.

Structure:
```
data_Ba2AcPt2O6
_symmetry_space_group_name_H-M 'R -3 m'
_symmetry_Int_Tables_number 166
_symmetry_space_group_name_Hall '-R 3 2"'
_cell_length_a 6.2466
_cell_length_b 6.2466
_cell_length_c 19.4350
_cell_angle_alpha 90.00
_cell_angle_beta 90.00
_cell_angle_gamma 120.00
loop_
_atom_site_label
_atom_site_type_symbol
_atom_site_fract_x
_atom_site_fract_y
_atom_site_fract_z
Ba1 Ba 0.0000 0.0000 0.2079
Ac1 Ac 0.0000 0.0000 0.0000
Pt1 Pt 0.0000 0.0000 0.4196
O1 O 0.0289 0.5144 0.7623
```

The 6 most intense peaks (2θ = 10–80°), sorted by position:
hkl  2theta  intensity
0 1 2  18.77  21
0 1 5  28.27  86
1 1 0  28.58  100
2 0 5  40.64  40
1 2 5  50.43  39
3 0 0  50.62  21

***

# BaAc4Rh3O12
Theoretical PXRD pattern, a wavelength of 1.5418 Å. Input: a PBE-relaxed structure.

Structure:
```
data_BaAc4Rh3O12
_symmetry_space_group_name_H-M 'I m -3'
_symmetry_Int_Tables_number 204
_symmetry_space_group_name_Hall '-I 2 2 3'
_cell_length_a 8.832
_cell_length_b 8.832
_cell_length_c 8.832
_cell_angle_alpha 90.00
_cell_angle_beta 90.00
_cell_angle_gamma 90.00
loop_
_atom_site_label
_atom_site_type_symbol
_atom_site_fract_x
_atom_site_fract_y
_atom_site_fract_z
Ba1 Ba 0.000 0.000 0.000
Ac1 Ac 0.250 0.250 0.250
Rh1 Rh 0.000 0.000 0.500
O1 O 0.000 0.329 0.147
```

The 6 most intense peaks (2θ = 10–80°), sorted by position:
hkl  2theta  intensity
2 0 0  20.11  12
2 2 0  28.59  100
4 0 0  40.87  20
4 2 2  50.64  48
4 4 0  59.18  13
6 0 2  67.02  20

***

# BaAcSi2O6
Theoretical PXRD pattern, a wavelength of 1.5418 Å. Input: a PBE-relaxed structure.

Structure:
```
data_BaAcSi2O6
_symmetry_space_group_name_H-M 'C 1 2/c 1'
_symmetry_Int_Tables_number 15
_cell_length_a 7.916
_cell_length_b 11.474
_cell_length_c 7.855
_cell_angle_alpha 90.00
_cell_angle_beta 109.85
_cell_angle_gamma 90.00
loop_
_symmetry_equiv_pos_as_xyz
'x,y,z'
'-x,-y,-z'
'-x,y,-z+1/2'
'x,-y,z+1/2'
'x+1/2,y+1/2,z'
'-x+1/2,-y+1/2,-z'
'-x+1/2,y+1/2,-z+1/2'
'x+1/2,-y+1/2,z+1/2'
loop_
_atom_site_label
_atom_site_type_symbol
_atom_site_fract_x
_atom_site_fract_y
_atom_site_fract_z
Ba1 Ba 0.000 0.210 0.250
Ac1 Ac 0.000 0.398 0.750
Si1 Si 0.172 0.092 0.742
O1 O 0.131 0.216 0.633
O2 O 0.133 0.397 0.095
O3 O 0.172 0.034 0.152
```

The 6 most intense peaks (2θ = 10–80°), sorted by position:
hkl  2theta  intensity
1 1 0  14.18  46
0 2 1  19.59  67
0 0 2  24.09  90
1 3 -1  27.10  89
2 2 -1  27.66  100
2 0 2  39.81  48

***

# BaAcSnO
Theoretical PXRD pattern, a wavelength of 1.5418 Å. Input: a PBE-relaxed structure.

Structure:
```
data_BaAcSnO
_symmetry_space_group_name_H-M 'I m m 2'
_symmetry_Int_Tables_number 44
_cell_length_a 3.963
_cell_length_b 4.101
_cell_length_c 15.498
_cell_angle_alpha 90.00
_cell_angle_beta 90.00
_cell_angle_gamma 90.00
loop_
_symmetry_equiv_pos_as_xyz
'x,y,z'
'-x,-y,z'
'-x,y,z'
'x,-y,z'
'x+1/2,y+1/2,z+1/2'
'-x+1/2,-y+1/2,z+1/2'
'-x+1/2,y+1/2,z+1/2'
'x+1/2,-y+1/2,z+1/2'
loop_
_atom_site_label
_atom_site_type_symbol
_atom_site_fract_x
_atom_site_fract_y
_atom_site_fract_z
Ba1 Ba 0.000 0.000 0.000
Ac1 Ac 0.000 0.000 0.296
Sn1 Sn 0.000 0.000 0.651
O1 O 0.000 0.500 0.884
```

The 6 most intense peaks (2θ = 10–80°), sorted by position:
hkl  2theta  intensity
0 1 3  27.77  100
1 0 3  28.38  92
1 1 0  31.39  73
1 1 6  47.51  37
1 2 3  53.34  33
2 1 3  54.40  32

***

# BaAc2SnO6
Theoretical PXRD pattern, a wavelength of 1.5418 Å. Input: a PBE-relaxed structure.

Structure:
```
data_BaAc2SnO6
_symmetry_space_group_name_H-M 'P 4 m m'
_symmetry_Int_Tables_number 99
_cell_length_a 5.797
_cell_length_b 5.797
_cell_length_c 5.901
_cell_angle_alpha 90.00
_cell_angle_beta 90.00
_cell_angle_gamma 90.00
loop_
_symmetry_equiv_pos_as_xyz
'x,y,z'
'-y,x,z'
'-x,-y,z'
'y,-x,z'
'-x,y,z'
'y,x,z'
'x,-y,z'
'-y,-x,z'
loop_
_atom_site_label
_atom_site_type_symbol
_atom_site_fract_x
_atom_site_fract_y
_atom_site_fract_z
Ba1 Ba 0.000 0.000 0.000
Ac1 Ac 0.000 0.500 0.456
Sn1 Sn 0.500 0.500 0.078
O1 O 0.000 0.000 0.572
O2 O 0.270 0.270 0.219
O3 O 0.500 0.500 0.737
```

The 6 most intense peaks (2θ = 10–80°), sorted by position:
hkl  2theta  intensity
0 0 1  15.01  19
1 1 1  26.47  100
2 0 0  30.85  35
2 0 2  43.78  25
2 2 0  44.19  19
3 1 1  52.25  32

***

# BaAc4Sn3O12
Theoretical PXRD pattern, a wavelength of 1.5418 Å. Input: a PBE-relaxed structure.

Structure:
```
data_BaAc4Sn3O12
_symmetry_space_group_name_H-M 'I m -3'
_symmetry_Int_Tables_number 204
_symmetry_space_group_name_Hall '-I 2 2 3'
_cell_length_a 9.052
_cell_length_b 9.052
_cell_length_c 9.052
_cell_angle_alpha 90.00
_cell_angle_beta 90.00
_cell_angle_gamma 90.00
loop_
_atom_site_label
_atom_site_type_symbol
_atom_site_fract_x
_atom_site_fract_y
_atom_site_fract_z
Ba1 Ba 0.000 0.000 0.000
Ac1 Ac 0.250 0.250 0.250
Sn1 Sn 0.000 0.000 0.500
O1 O 0.000 0.156 0.324
```

The 6 most intense peaks (2θ = 10–80°), sorted by position:
hkl  2theta  intensity
2 2 0  27.88  100
4 0 0  39.83  21
4 2 2  49.32  50
4 4 0  57.60  14
6 2 0  65.18  21
6 4 2  79.18  23

***

# BaAc3Te4O12
Theoretical PXRD pattern, a wavelength of 1.5418 Å. Input: a PBE-relaxed structure.

Structure:
```
data_BaAc3Te4O12
_symmetry_space_group_name_H-M 'R 3 2'
_symmetry_Int_Tables_number 155
_symmetry_space_group_name_Hall 'R 3 2"'
_cell_length_a 12.2975
_cell_length_b 12.2975
_cell_length_c 9.7200
_cell_angle_alpha 90.00
_cell_angle_beta 90.00
_cell_angle_gamma 120.00
loop_
_atom_site_label
_atom_site_type_symbol
_atom_site_fract_x
_atom_site_fract_y
_atom_site_fract_z
Ba1 Ba 0.0000 0.0000 0.0000
Ac1 Ac 0.0000 0.5700 0.0000
Te1 Te 0.0000 0.0000 0.5000
Te2 Te 0.0000 0.3999 0.5000
O1 O 0.0000 0.5572 0.5000
O2 O 0.0000 0.8338 0.5000
O3 O 0.0476 0.1927 0.1968
```

The 6 most intense peaks (2θ = 10–80°), sorted by position:
hkl  2theta  intensity
2 1 1  23.93  52
2 0 2  24.80  100
3 0 0  25.08  26
1 1 3  31.20  43
1 3 1  31.66  52
0 2 4  40.82  26

***

# Ba2AcTi2O7
Theoretical PXRD pattern, a wavelength of 1.5418 Å. Input: a PBE-relaxed structure.

Structure:
```
data_Ba2AcTi2O7
_symmetry_space_group_name_H-M 'I 4/m m m'
_symmetry_Int_Tables_number 139
_symmetry_space_group_name_Hall '-I 4 2'
_cell_length_a 4.043
_cell_length_b 4.043
_cell_length_c 21.414
_cell_angle_alpha 90.00
_cell_angle_beta 90.00
_cell_angle_gamma 90.00
loop_
_atom_site_label
_atom_site_type_symbol
_atom_site_fract_x
_atom_site_fract_y
_atom_site_fract_z
Ba1 Ba 0.000 0.000 0.183
Ac1 Ac 0.000 0.000 0.000
Ti1 Ti 0.000 0.000 0.405
O1 O 0.000 0.000 0.313
O2 O 0.000 0.000 0.500
O3 O 0.000 0.500 0.089
```

The 6 most intense peaks (2θ = 10–80°), sorted by position:
hkl  2theta  intensity
1 0 1  22.38  40
1 0 5  30.40  100
1 1 0  31.29  61
1 1 6  40.43  39
2 0 0  44.84  33
2 1 5  55.14  38